This entry pairs a crystal structure of LiMgCoF6 with its calculated X-ray diffraction stick pattern. Radiation: Cu Kα. Structure: DFT lattice parameters and positions (GGA+U).
Lines closer than 0.1° are merged.

Main lines, by angle (15 to 90 degrees two-theta):
| two_theta | I/Imax |
| --- | --- |
| 19.26 | 33 |
| 21.36 | 99 |
| 27.06 | 100 |
| 33.43 | 24 |
| 34.98 | 29 |
| 40.12 | 66 |
| 44.57 | 20 |
| 53.10 | 73 |
| 55.79 | 29 |
| 67.57 | 34 |

Lattice parameters (Å, degrees): 4.6605 4.6605 9.2184 90.00 90.00 90.00
Space group P4_2nm (No. 102)
One atom of each set of equivalent atoms:
Li 0.0000 0.0000 0.0000 x2
Mg 0.0000 0.0000 0.6643 x2
Co 0.0000 0.0000 0.3309 x2
F 0.1924 0.1924 0.4928 x4
F 0.1975 0.1975 0.1720 x4
F 0.2110 0.2110 0.8271 x4

This entry pairs a crystal structure of KMg6CoO8 with its calculated X-ray diffraction stick pattern. Radiation: Cu Kα. Structure: DFT lattice parameters and positions (GGA+U).
Lines closer than 0.1° are merged.

Main lines, by angle (15 to 90 degrees two-theta):
| two_theta | I/Imax |
| --- | --- |
| 19.64 | 12 |
| 28.88 | 10 |
| 35.17 | 31 |
| 39.89 | 100 |
| 42.66 | 38 |
| 57.69 | 29 |
| 59.83 | 48 |
| 69.39 | 11 |
| 74.34 | 23 |
| 86.04 | 8 |

Lattice parameters (Å, degrees): 4.5199 4.5199 8.4770 90.00 90.00 90.00
Space group P4/mmm (No. 123)
One atom of each set of equivalent atoms:
K 0.0000 0.0000 0.0000 x1
Mg 0.0000 0.5000 0.2496 x4
Mg 0.5000 0.5000 0.0000 x1
Mg 0.5000 0.5000 0.5000 x1
Co 0.0000 0.0000 0.5000 x1
O 0.0000 0.0000 0.2844 x2
O 0.0000 0.5000 0.0000 x2
O 0.0000 0.5000 0.5000 x2
O 0.5000 0.5000 0.2529 x2

This entry pairs a crystal structure of MgFe8O8F8 with its calculated X-ray diffraction stick pattern. Radiation: Cu Kα. Structure: DFT lattice parameters and positions (GGA+U).
Lines closer than 0.1° are merged.

Main lines, by angle (15 to 90 degrees two-theta):
| two_theta | I/Imax |
| --- | --- |
| 24.64 | 65 |
| 26.90 | 60 |
| 27.39 | 21 |
| 31.69 | 28 |
| 33.92 | 100 |
| 37.96 | 23 |
| 49.62 | 26 |
| 52.16 | 44 |
| 53.58 | 20 |
| 58.78 | 23 |

Lattice parameters (Å, degrees): 9.7878 3.1416 9.8212 90.00 94.93 90.00
Space group Pm (No. 6)
One atom of each set of equivalent atoms:
Mg 0.0000 0.0000 0.0000 x1
Fe 0.0020 0.0000 0.2961 x1
Fe 0.0665 0.0000 0.7213 x1
Fe 0.2872 0.5000 0.5317 x1
Fe 0.2963 0.5000 0.9726 x1
Fe 0.5296 0.0000 0.2763 x1
Fe 0.5403 0.0000 0.7392 x1
Fe 0.6375 0.5000 0.9949 x1
Fe 0.7471 0.5000 0.5212 x1
O 0.1324 0.5000 0.6277 x1
O 0.1860 0.0000 0.9099 x1
O 0.3817 0.0000 0.6094 x1
O 0.4575 0.5000 0.8793 x1
O 0.5916 0.5000 0.1773 x1
O 0.6276 0.5000 0.6648 x1
O 0.6676 0.0000 0.4225 x1
O 0.6851 0.0000 0.9072 x1
F 0.0846 0.5000 0.1351 x1
F 0.1874 0.0000 0.3958 x1
F 0.3620 0.0000 0.1129 x1
F 0.4171 0.5000 0.3603 x1
F 0.8655 0.0000 0.1342 x1
F 0.8673 0.0000 0.6163 x1
F 0.9099 0.5000 0.3915 x1
F 0.9536 0.5000 0.8811 x1

This entry pairs a crystal structure of Li4Cr3NiO8 with its calculated X-ray diffraction stick pattern. Radiation: Cu Kα. Structure: DFT lattice parameters and positions (GGA+U).
Lines closer than 0.1° are merged.

Main lines, by angle (15 to 90 degrees two-theta):
| two_theta | I/Imax |
| --- | --- |
| 18.50 | 100 |
| 35.75 | 43 |
| 37.34 | 9 |
| 37.52 | 9 |
| 43.42 | 27 |
| 43.53 | 53 |
| 47.55 | 9 |
| 57.66 | 11 |
| 63.17 | 29 |
| 66.33 | 9 |

Lattice parameters (Å, degrees): 5.0926 5.9002 5.0971 90.00 109.79 90.00
Space group P2/m (No. 10)
One atom of each set of equivalent atoms:
Li 0.0000 0.0000 0.0000 x1
Li 0.0000 0.5000 0.0000 x1
Li 0.5000 0.2427 0.0000 x2
Cr 0.0000 0.2497 0.5000 x2
Cr 0.5000 0.5000 0.5000 x1
Ni 0.5000 0.0000 0.5000 x1
O 0.2345 0.0000 0.7330 x2
O 0.2479 0.5000 0.7255 x2
O 0.2581 0.2661 0.2751 x4

This entry pairs a crystal structure of Li2Mn3FeO8 with its calculated X-ray diffraction stick pattern. Radiation: Cu Kα. Structure: DFT lattice parameters and positions (GGA+U).
Lines closer than 0.1° are merged.

Main lines, by angle (15 to 90 degrees two-theta):
| two_theta | I/Imax |
| --- | --- |
| 18.39 | 80 |
| 21.21 | 37 |
| 30.22 | 33 |
| 35.50 | 100 |
| 35.61 | 16 |
| 43.19 | 44 |
| 57.10 | 22 |
| 57.20 | 20 |
| 62.63 | 29 |
| 62.84 | 27 |

Lattice parameters (Å, degrees): 5.9332 5.9332 14.4672 90.00 90.00 120.00
Space group R3m (No. 160, hexagonal axes)
One atom of each set of equivalent atoms:
Li 0.0000 0.0000 0.0000 x3
Li 0.0000 0.0000 0.3820 x3
Mn 0.1710 0.3420 0.8294 x9
Fe 0.0000 0.0000 0.6147 x3
O 0.0000 0.0000 0.2392 x3
O 0.0000 0.0000 0.7531 x3
O 0.0293 0.5147 0.7596 x9
O 0.1763 0.3527 0.5716 x9

This entry pairs a crystal structure of LiVF4 with its calculated X-ray diffraction stick pattern. Radiation: Cu Kα. Structure: DFT lattice parameters and positions (GGA+U).
Lines closer than 0.1° are merged.

Main lines, by angle (15 to 90 degrees two-theta):
| two_theta | I/Imax |
| --- | --- |
| 18.56 | 100 |
| 19.78 | 24 |
| 28.87 | 8 |
| 34.54 | 26 |
| 40.19 | 20 |
| 43.39 | 39 |
| 53.57 | 9 |
| 58.29 | 9 |
| 60.62 | 19 |
| 62.00 | 10 |

Lattice parameters (Å, degrees): 6.1847 8.9752 5.6480 90.00 90.00 90.00
Space group Imma (No. 74)
One atom of each set of equivalent atoms:
Li 0.0000 0.0000 0.0000 x4
V 0.2500 0.2500 0.2500 x4
F 0.0000 0.2500 0.0125 x4
F 0.0000 0.2500 0.4675 x4
F 0.2500 0.0367 0.2500 x8